This entry pairs a crystal structure of MgZn2Sb2 with its computed XRD peak list. Radiation: Cu Kα. Structure: a structure optimized by DFT (PBE).

Most intense lines, 10 to 80 degrees two-theta, in order of rising 2θ:
two_theta	intensity
23.42	73
24.61	32
26.51	76
34.23	94
41.17	100
44.50	82
48.55	30
54.58	24
62.22	29
69.51	18
70.59	21
77.36	31

Structure:
Unit cell a=4.385 b=4.385 c=7.236 alpha=90.00 beta=90.00 gamma=120.00
Fractional coordinates of all 5 atoms:
Mg 0.000 0.000 0.000
Zn 0.333 0.667 0.621
Zn 0.667 0.333 0.379
Sb 0.333 0.667 0.234
Sb 0.667 0.333 0.766

---

This entry pairs a crystal structure of NaLiCO3 with its computed XRD peak list. Radiation: Cu Kα. Structure: a structure optimized by DFT (PBE).

Most intense lines, 10 to 80 degrees two-theta, in order of rising 2θ:
two_theta	intensity
21.11	44
28.95	100
32.49	25
33.87	57
36.10	34
36.99	13
42.98	24
44.82	13
45.88	19
51.02	40
53.87	22
57.34	15

Structure:
Unit cell a=8.418 b=8.418 c=3.404 alpha=90.00 beta=90.00 gamma=120.00
Fractional coordinates of all 18 atoms:
Na 0.000 0.656 0.000
Na 0.344 0.344 0.000
Na 0.656 0.000 0.000
Li 0.000 0.290 0.500
Li 0.290 0.000 0.500
Li 0.710 0.710 0.500
C 0.000 0.000 0.000
C 0.333 0.667 0.500
C 0.667 0.333 0.500
O 0.000 0.154 0.000
O 0.154 0.000 0.000
O 0.237 0.748 0.500
O 0.252 0.488 0.500
O 0.488 0.252 0.500
O 0.512 0.763 0.500
O 0.748 0.237 0.500
O 0.763 0.512 0.500
O 0.846 0.846 0.000

---

This entry pairs a crystal structure of LaSb2 with its computed XRD peak list. Radiation: Cu Kα. Structure: a structure optimized by DFT (PBE).

Most intense lines, 10 to 80 degrees two-theta, in order of rising 2θ:
two_theta	intensity
24.47	17
28.69	42
29.67	52
31.76	100
34.11	42
35.10	27
40.53	54
47.30	19
48.35	18
53.39	17
66.90	12
67.65	22

Structure:
Unit cell a=4.483 b=4.483 c=18.671 alpha=90.00 beta=90.00 gamma=89.62
Fractional coordinates of all 12 atoms:
La 0.136 0.864 0.890
La 0.364 0.636 0.390
La 0.636 0.364 0.610
La 0.864 0.136 0.110
Sb 0.127 0.373 0.750
Sb 0.130 0.870 0.563
Sb 0.370 0.630 0.063
Sb 0.373 0.127 0.250
Sb 0.627 0.873 0.750
Sb 0.630 0.370 0.937
Sb 0.870 0.130 0.437
Sb 0.873 0.627 0.250